Starting from the PBE geometry in the Materials Project, the powder XRD pattern of In9Ag17 was computed for Cu Kα (λ = 1.5418 Å).
Neutral-atom scattering factors, no anomalous dispersion.

a = 14.2619 Å, b = 14.2781 Å, c = 10.1606 Å
α = 90.00°, β = 90.35°, γ = 90.00°
Space group Cm (No. 8)
Inequivalent atoms, fractional coordinates:
In  0.0000  0.0000  0.0000 (multiplicity 2)
In  0.0148  0.3630  0.7258 (multiplicity 4)
In  0.0506  0.3278  0.3468 (multiplicity 4)
In  0.0704  0.0000  0.4186 (multiplicity 2)
In  0.1857  0.1887  0.0728 (multiplicity 4)
In  0.1881  0.1170  0.6533 (multiplicity 4)
In  0.3044  0.0000  0.4201 (multiplicity 2)
In  0.3239  0.3275  0.3503 (multiplicity 4)
In  0.3599  0.3637  0.7229 (multiplicity 4)
In  0.3667  0.3212  0.0366 (multiplicity 4)
In  0.3775  0.0000  0.0010 (multiplicity 2)
Ag  0.0027  0.5000  0.5038 (multiplicity 2)
Ag  0.0090  0.1788  0.5365 (multiplicity 4)
Ag  0.0094  0.3219  0.0366 (multiplicity 4)
Ag  0.0133  0.5000  0.2104 (multiplicity 2)
Ag  0.0142  0.1409  0.2228 (multiplicity 4)
Ag  0.0169  0.0000  0.7072 (multiplicity 2)
Ag  0.0472  0.1741  0.8505 (multiplicity 4)
Ag  0.0833  0.5000  0.9322 (multiplicity 2)
Ag  0.1872  0.3150  0.5694 (multiplicity 4)
Ag  0.1868  0.3258  0.8617 (multiplicity 4)
Ag  0.1870  0.3961  0.1411 (multiplicity 4)
Ag  0.1878  0.0000  0.1796 (multiplicity 2)
Ag  0.1877  0.0000  0.8935 (multiplicity 2)
Ag  0.1877  0.1707  0.3657 (multiplicity 4)
Ag  0.1876  0.5000  0.3931 (multiplicity 2)
Ag  0.1875  0.5000  0.6798 (multiplicity 2)
Ag  0.2915  0.5000  0.9318 (multiplicity 2)
Ag  0.3285  0.1730  0.8505 (multiplicity 4)
Ag  0.3585  0.0000  0.7071 (multiplicity 2)
Ag  0.3612  0.1405  0.2223 (multiplicity 4)
Ag  0.3617  0.5000  0.2121 (multiplicity 2)
Ag  0.3663  0.1784  0.5364 (multiplicity 4)
Ag  0.3726  0.5000  0.5030 (multiplicity 2)

The 12 most intense peaks (2θ from 15° to 90°), most intense first:
2θ 37.8, 2.380 Å, intensity 100.0; 2θ 37.6, 2.393 Å, intensity 46.2; 2θ 68.2, 1.375 Å, intensity 7.6; 2θ 54.6, 1.681 Å, intensity 6.9; 2θ 30.6, 2.923 Å, intensity 6.6; 2θ 68.1, 1.376 Å, intensity 6.4; 2θ 67.9, 1.380 Å, intensity 5.6; 2θ 76.7, 1.243 Å, intensity 5.2; 2θ 76.4, 1.246 Å, intensity 5.0; 2θ 68.3, 1.372 Å, intensity 4.8; 2θ 37.7, 2.388 Å, intensity 4.1; 2θ 63.7, 1.460 Å, intensity 4.0

Starting from the PBE geometry in the Materials Project, the powder XRD pattern of LiIn2Ag was computed for Cu Kα (λ = 1.5418 Å).
Neutral-atom scattering factors, no anomalous dispersion.

a = 6.8815 Å, b = 6.8815 Å, c = 6.8815 Å
α = 90.00°, β = 90.00°, γ = 90.00°
Space group Fm-3m (No. 225)
Inequivalent atoms, fractional coordinates:
Li  0.0000  0.0000  0.0000 (multiplicity 4)
In  0.2500  0.2500  0.2500 (multiplicity 8)
Ag  0.0000  0.0000  0.5000 (multiplicity 4)

The 12 most intense peaks (2θ from 15° to 90°), most intense first:
2θ 36.9, 2.433 Å, intensity 100.0; 2θ 66.6, 1.405 Å, intensity 33.4; 2θ 22.4, 3.973 Å, intensity 22.9; 2θ 53.2, 1.720 Å, intensity 16.8; 2θ 25.9, 3.441 Å, intensity 13.8; 2θ 43.6, 2.075 Å, intensity 11.5; 2θ 78.7, 1.216 Å, intensity 10.4; 2θ 60.1, 1.539 Å, intensity 5.2; 2θ 58.5, 1.579 Å, intensity 4.6; 2θ 45.7, 1.987 Å, intensity 4.0; 2θ 83.0, 1.163 Å, intensity 3.3; 2θ 71.2, 1.324 Å, intensity 3.3